HfScSi2Ir4: calculated powder diffraction line list (Cu Ka), based on a DFT-relaxed cell (GGA-PBE, OQMD).

a b c (Å): 6.968 5.199 5.199
angles (deg): 41.40 90.00 90.00
Sites, in units of the cell vectors:
Hf 0.000 0.000 0.000
Sc 0.500 0.110 0.110
Si 0.000 0.281 0.281
Si 0.500 0.827 0.827
Ir 0.202 0.693 0.693
Ir 0.295 0.418 0.418
Ir 0.705 0.418 0.418
Ir 0.798 0.693 0.693

The 10 most intense peaks (10 to 80 degrees two-theta), low angle first:
| 2θ (°) | Rel. int. |
| --- | --- |
| 25.91 | 24 |
| 28.96 | 23 |
| 36.72 | 100 |
| 36.97 | 95 |
| 39.24 | 38 |
| 43.16 | 41 |
| 45.49 | 65 |
| 47.22 | 25 |
| 49.60 | 29 |
| 67.81 | 43 |


Tb2PdPt: calculated powder diffraction line list (Cu Ka), based on a DFT-relaxed cell (GGA-PBE, OQMD).

a b c (Å): 4.230 5.732 7.376
angles (deg): 90.00 90.00 90.00
Sites, in units of the cell vectors:
Tb 0.000 0.108 0.000
Tb 0.000 0.892 0.500
Tb 0.500 0.385 0.359
Tb 0.500 0.615 0.859
Pd 0.000 0.407 0.635
Pd 0.000 0.593 0.135
Pt 0.500 0.097 0.726
Pt 0.500 0.903 0.226

The 10 most intense peaks (10 to 80 degrees two-theta), low angle first:
| 2θ (°) | Rel. int. |
| --- | --- |
| 28.89 | 23 |
| 32.20 | 72 |
| 33.55 | 52 |
| 35.90 | 83 |
| 39.91 | 100 |
| 42.76 | 37 |
| 52.10 | 23 |
| 55.41 | 25 |
| 69.60 | 20 |
| 77.75 | 15 |


SmZnCu2Pd2: calculated powder diffraction line list (Cu Ka), based on a DFT-relaxed cell (GGA-PBE, OQMD).

a b c (Å): 5.220 5.220 4.310
angles (deg): 90.00 90.00 119.93
Sites, in units of the cell vectors:
Sm 0.000 0.000 0.000
Zn 0.500 0.500 0.500
Cu 0.000 0.500 0.500
Cu 0.500 0.000 0.500
Pd 0.334 0.666 0.000
Pd 0.666 0.334 0.000

The 10 most intense peaks (10 to 80 degrees two-theta), low angle first:
| 2θ (°) | Rel. int. |
| --- | --- |
| 20.61 | 12 |
| 28.61 | 16 |
| 34.34 | 36 |
| 39.86 | 17 |
| 40.39 | 100 |
| 41.92 | 26 |
| 55.27 | 19 |
| 65.60 | 23 |
| 72.38 | 15 |
| 75.53 | 15 |